Theoretical powder XRD pattern of FeCo3O8 for Cu Ka, from a crystal structure in the Materials Project, relaxed with GGA+U.

Structure:
```
data_FeCo3O8
_chemical_formula_sum 'Fe3 Co9 O24'
_symmetry_space_group_name_H-M 'R 3 m'
_symmetry_Int_Tables_number 160
_symmetry_space_group_name_Hall 'R 3 -2"'
_cell_length_a 5.6843
_cell_length_b 5.6843
_cell_length_c 14.0740
_cell_angle_alpha 90.00
_cell_angle_beta 90.00
_cell_angle_gamma 120.00
loop_
_atom_site_label
_atom_site_fract_x
_atom_site_fract_y
_atom_site_fract_z
Fe1 0.0000 0.0000 0.0000
Co1 0.0089 0.5045 0.1222
O1 0.0000 0.0000 0.3852
O2 0.0000 0.0000 0.8621
O3 0.0223 0.5111 0.3856
O4 0.1821 0.3642 0.1887
```

Top 12 peaks for 15° ≤ 2θ ≤ 90°, in order of rising 2θ:
index  2θ (°)  I_rel
0 0 3  18.92  94
1 0 1  19.10  16
0 1 2  22.04  47
1 0 4  31.25  34
0 1 5  36.78  13
0 2 1  37.05  100
0 2 4  44.94  44
0 2 7  59.35  26
1 2 5  59.56  11
2 0 8  65.18  24
2 2 0  65.71  26
2 2 3  69.06  13

=====

Theoretical powder XRD pattern of Fe2CoP3O12 for Cu Ka, from a crystal structure in the Materials Project, relaxed with GGA+U.

Structure:
```
data_Fe2CoP3O12
_chemical_formula_sum 'Fe12 Co6 P18 O72'
_symmetry_space_group_name_H-M 'R -3 c'
_symmetry_Int_Tables_number 167
_symmetry_space_group_name_Hall '-R 3 2"c'
_cell_length_a 8.6528
_cell_length_b 8.6528
_cell_length_c 20.3399
_cell_angle_alpha 90.00
_cell_angle_beta 90.00
_cell_angle_gamma 120.00
loop_
_atom_site_label
_atom_site_fract_x
_atom_site_fract_y
_atom_site_fract_z
Fe1 0.0000 0.0000 0.1451
Co1 0.0000 0.0000 0.0000
P1 0.0000 0.2972 0.2500
O1 0.0105 0.2033 0.3118
O2 0.0112 0.1786 0.9274
```

Top 12 peaks for 15° ≤ 2θ ≤ 90°, in order of rising 2θ:
index  2θ (°)  I_rel
1 1 0  20.53  93
1 1 3  24.41  100
2 0 2  25.33  16
2 1 1  31.90  15
1 1 6  33.59  76
3 0 0  35.95  44
1 2 8  48.09  31
2 2 6  50.02  30
4 1 0  56.26  25
3 1 8  57.25  15
4 1 6  63.12  24
6 0 0  76.23  11

=====

Theoretical powder XRD pattern of FeCoP2O8 for Cu Ka, from a crystal structure in the Materials Project, relaxed with GGA+U.

Structure:
```
data_FeCoP2O8
_chemical_formula_sum 'Fe2 Co2 P4 O16'
_symmetry_space_group_name_H-M 'P 1 21/m 1'
_symmetry_Int_Tables_number 11
_cell_length_a 4.822
_cell_length_b 5.848
_cell_length_c 9.904
_cell_angle_alpha 90.00
_cell_angle_beta 90.52
_cell_angle_gamma 90.00
loop_
_symmetry_equiv_pos_as_xyz
'x,y,z'
'-x,-y,-z'
'-x,y+1/2,-z'
'x,-y+1/2,z'
loop_
_atom_site_label
_atom_site_fract_x
_atom_site_fract_y
_atom_site_fract_z
Fe1 0.037 0.250 0.275
Co1 0.439 0.250 0.782
P1 0.089 0.750 0.399
P2 0.424 0.750 0.908
O1 0.151 0.750 0.551
O2 0.231 0.250 0.618
O3 0.232 0.544 0.326
O4 0.265 0.250 0.111
O5 0.273 0.547 0.829
O6 0.339 0.750 0.057
```

Top 12 peaks for 15° ≤ 2θ ≤ 90°, in order of rising 2θ:
index  2θ (°)  I_rel
0 0 2  17.91  98
1 0 -1  20.41  74
1 0 1  20.56  54
1 1 -1  25.52  55
1 1 1  25.64  75
0 2 0  30.57  100
1 1 -3  36.25  56
1 1 3  36.52  67
1 2 -1  37.08  40
2 2 0  48.97  24
2 2 -2  52.45  23
0 1 6  58.08  38

=====

Theoretical powder XRD pattern of Fe3CoP4O16 for Cu Ka, from a crystal structure in the Materials Project, relaxed with GGA+U.

Structure:
```
data_Fe3CoP4O16
_chemical_formula_sum 'Fe3 Co1 P4 O16'
_symmetry_space_group_name_H-M 'P 1 m 1'
_symmetry_Int_Tables_number 6
_cell_length_a 4.860
_cell_length_b 5.891
_cell_length_c 9.938
_cell_angle_alpha 90.00
_cell_angle_beta 90.13
_cell_angle_gamma 90.00
loop_
_symmetry_equiv_pos_as_xyz
'x,y,z'
'x,-y,z'
loop_
_atom_site_label
_atom_site_fract_x
_atom_site_fract_y
_atom_site_fract_z
Fe1 0.000 0.000 0.000
Fe2 0.069 0.500 0.550
Fe3 0.570 0.000 0.501
Co1 0.470 0.500 0.060
P1 0.121 0.000 0.680
P2 0.462 0.000 0.180
P3 0.619 0.500 0.369
P4 0.950 0.500 0.879
O1 0.191 0.000 0.829
O2 0.267 0.203 0.604
O3 0.267 0.500 0.897
O4 0.309 0.500 0.392
O5 0.314 0.202 0.103
O6 0.383 0.000 0.328
O7 0.693 0.500 0.219
O8 0.766 0.297 0.444
O9 0.772 0.000 0.161
O10 0.808 0.295 0.950
O11 0.811 0.000 0.656
O12 0.896 0.500 0.727
```

Top 12 peaks for 15° ≤ 2θ ≤ 90°, in order of rising 2θ:
index  2θ (°)  I_rel
0 0 2  17.85  76
1 0 -1  20.34  100
0 1 2  23.42  21
1 1 1  25.39  91
1 1 -2  29.85  20
0 2 0  30.35  77
1 1 3  36.19  96
1 2 -1  36.81  31
2 2 0  48.57  21
2 2 -2  52.10  25
0 1 6  57.80  42
3 1 2  62.31  17

=====

Theoretical powder XRD pattern of FeCoP2O8 for Cu Ka, from a crystal structure in the Materials Project, relaxed with GGA+U.

Structure:
```
data_FeCoP2O8
_chemical_formula_sum 'Fe9 Co9 P18 O72'
_symmetry_space_group_name_H-M 'R 3'
_symmetry_Int_Tables_number 146
_symmetry_space_group_name_Hall 'R 3'
_cell_length_a 8.6347
_cell_length_b 8.6347
_cell_length_c 20.1821
_cell_angle_alpha 90.00
_cell_angle_beta 90.00
_cell_angle_gamma 120.00
loop_
_atom_site_label
_atom_site_fract_x
_atom_site_fract_y
_atom_site_fract_z
Fe1 0.0000 0.0000 0.0000
Fe2 0.0000 0.0000 0.2100
Fe3 0.0000 0.0000 0.5004
Co1 0.0000 0.0000 0.3555
Co2 0.0000 0.0000 0.7088
Co3 0.0000 0.0000 0.8536
P1 0.0002 0.2972 0.6054
P2 0.0357 0.6676 0.7717
O1 0.0101 0.8060 0.1672
O2 0.0096 0.8330 0.7825
O3 0.0112 0.1787 0.2837
O4 0.0121 0.2035 0.6678
O5 0.1415 0.4621 0.2100
O6 0.1410 0.6794 0.7097
O7 0.1645 0.6750 0.0939
O8 0.1652 0.4884 0.5939
```

Top 12 peaks for 15° ≤ 2θ ≤ 90°, in order of rising 2θ:
index  2θ (°)  I_rel
1 1 0  20.57  95
1 1 3  24.50  100
2 0 2  25.40  16
2 1 1  31.97  15
1 1 6  33.78  77
3 0 0  36.03  45
1 2 8  48.36  30
2 2 6  50.22  30
1 4 0  56.38  26
3 1 8  57.53  15
1 4 6  63.35  25
6 0 0  76.42  12

=====

Theoretical powder XRD pattern of Fe3Co2SbP6O24 for Cu Ka, from a crystal structure in the Materials Project, relaxed with GGA+U.

Structure:
```
data_Fe3Co2SbP6O24
_chemical_formula_sum 'Fe9 Co6 Sb3 P18 O72'
_symmetry_space_group_name_H-M 'R 3'
_symmetry_Int_Tables_number 146
_symmetry_space_group_name_Hall 'R 3'
_cell_length_a 8.6755
_cell_length_b 8.6755
_cell_length_c 20.8156
_cell_angle_alpha 90.00
_cell_angle_beta 90.00
_cell_angle_gamma 120.00
loop_
_atom_site_label
_atom_site_fract_x
_atom_site_fract_y
_atom_site_fract_z
Fe1 0.0000 0.0000 0.0000
Fe2 0.0000 0.0000 0.2094
Fe3 0.0000 0.0000 0.4982
Co1 0.0000 0.0000 0.3541
Co2 0.0000 0.0000 0.8617
Sb1 0.0000 0.0000 0.7122
P1 0.0035 0.7078 0.1037
P2 0.0371 0.3680 0.2700
O1 0.0004 0.8010 0.1651
O2 0.0008 0.1998 0.6673
O3 0.0163 0.1811 0.2793
O4 0.0164 0.8371 0.7781
O5 0.1396 0.6751 0.7096
O6 0.1439 0.4688 0.2117
O7 0.1655 0.6791 0.0963
O8 0.1667 0.4826 0.5981
```

Top 12 peaks for 15° ≤ 2θ ≤ 90°, in order of rising 2θ:
index  2θ (°)  I_rel
1 1 0  20.47  100
1 0 4  20.76  20
1 1 3  24.20  79
0 2 4  29.32  13
2 1 1  31.80  13
2 -1 6  33.06  70
3 0 0  35.86  42
1 2 8  47.39  29
2 2 6  49.57  27
4 1 0  56.10  25
3 1 8  56.59  14
5 -1 6  62.67  21

=====

Theoretical powder XRD pattern of Fe3CoSb2P6O24 for Cu Ka, from a crystal structure in the Materials Project, relaxed with GGA+U.

Structure:
```
data_Fe3CoSb2P6O24
_chemical_formula_sum 'Fe9 Co3 Sb6 P18 O72'
_symmetry_space_group_name_H-M 'R 3'
_symmetry_Int_Tables_number 146
_symmetry_space_group_name_Hall 'R 3'
_cell_length_a 8.6349
_cell_length_b 8.6349
_cell_length_c 21.7849
_cell_angle_alpha 90.00
_cell_angle_beta 90.00
_cell_angle_gamma 120.00
loop_
_atom_site_label
_atom_site_fract_x
_atom_site_fract_y
_atom_site_fract_z
Fe1 0.0000 0.0000 0.0000
Fe2 0.0000 0.0000 0.2034
Fe3 0.0000 0.0000 0.7021
Co1 0.0000 0.0000 0.4969
Sb1 0.0000 0.0000 0.3525
Sb2 0.0000 0.0000 0.8519
P1 0.0001 0.2855 0.5995
P2 0.0016 0.7095 0.1021
O1 0.0116 0.1976 0.5402
O2 0.0122 0.8081 0.0426
O3 0.0185 0.8338 0.7694
O4 0.0242 0.1885 0.2686
O5 0.1406 0.6730 0.8270
O6 0.1418 0.4690 0.3260
O7 0.1699 0.4795 0.5984
O8 0.1739 0.6887 0.1009
```

Top 12 peaks for 15° ≤ 2θ ≤ 90°, in order of rising 2θ:
index  2θ (°)  I_rel
1 1 0  20.57  100
2 -1 3  23.98  56
2 0 2  25.18  25
2 -1 6  32.21  89
3 -2 2  32.73  17
3 0 0  36.03  36
0 3 6  44.07  16
3 -2 8  46.30  27
2 2 6  49.10  31
4 -1 8  55.71  13
4 1 0  56.38  24
5 -1 6  62.39  23

=====

Theoretical powder XRD pattern of Fe3Co2SnP6O24 for Cu Ka, from a crystal structure in the Materials Project, relaxed with GGA+U.

Structure:
```
data_Fe3Co2SnP6O24
_chemical_formula_sum 'Fe9 Co6 Sn3 P18 O72'
_symmetry_space_group_name_H-M 'R 3'
_symmetry_Int_Tables_number 146
_symmetry_space_group_name_Hall 'R 3'
_cell_length_a 8.6883
_cell_length_b 8.6883
_cell_length_c 20.6391
_cell_angle_alpha 90.00
_cell_angle_beta 90.00
_cell_angle_gamma 120.00
loop_
_atom_site_label
_atom_site_fract_x
_atom_site_fract_y
_atom_site_fract_z
Fe1 0.0000 0.0000 0.0000
Fe2 0.0000 0.0000 0.2079
Fe3 0.0000 0.0000 0.7097
Co1 0.0000 0.0000 0.3484
Co2 0.0000 0.0000 0.8549
Sn1 0.0000 0.0000 0.4976
P1 0.0018 0.3002 0.6053
P2 0.0406 0.6711 0.7711
O1 0.0090 0.2004 0.6645
O2 0.0086 0.8065 0.1657
O3 0.0116 0.1789 0.2803
O4 0.0142 0.8350 0.7809
O5 0.1312 0.4580 0.2088
O6 0.1416 0.6783 0.7101
O7 0.1650 0.6801 0.0939
O8 0.1667 0.4895 0.5956
```

Top 12 peaks for 15° ≤ 2θ ≤ 90°, in order of rising 2θ:
index  2θ (°)  I_rel
1 1 0  20.44  100
1 0 4  20.88  18
2 -1 3  24.23  80
3 -1 1  31.76  13
1 1 6  33.22  73
3 0 0  35.80  44
3 0 6  44.71  13
3 -2 8  47.59  29
2 2 6  49.64  29
1 4 0  56.01  26
4 -1 8  56.74  14
4 1 6  62.70  23